Starting from a cell relaxed with PBE, the PXRD pattern of Na2AlCl5 was simulated for Cu Kα (λ = 1.5418 Å).
Lines closer than 0.1° are merged.

Structural model:
a b c (Å): 11.2971 11.6079 8.2041
angles (deg): 90.00 90.00 90.00
Fractional positions:
Na1 0.0000 0.0000 0.2193
Na2 0.0000 0.0000 0.7807
Na3 0.1318 0.3455 0.0000
Na4 0.3682 0.8455 0.5000
Na5 0.5000 0.5000 0.2807
Na6 0.5000 0.5000 0.7193
Na7 0.6318 0.1545 0.5000
Na8 0.8682 0.6545 0.0000
Al1 0.2476 0.7351 0.0000
Al2 0.2524 0.2351 0.5000
Al3 0.7476 0.7649 0.5000
Al4 0.7524 0.2649 0.0000
Cl1 0.0791 0.1541 0.5000
Cl2 0.1084 0.1267 0.0000
Cl3 0.1174 0.5966 0.0000
Cl4 0.2237 0.8422 0.2132
Cl5 0.2237 0.8422 0.7868
Cl6 0.2763 0.3422 0.2868
Cl7 0.2763 0.3422 0.7132
Cl8 0.3826 0.0966 0.5000
Cl9 0.3916 0.6267 0.5000
Cl10 0.4209 0.6541 0.0000
Cl11 0.5791 0.3459 0.0000
Cl12 0.6084 0.3733 0.5000
Cl13 0.6174 0.9034 0.5000
Cl14 0.7237 0.6578 0.2868
Cl15 0.7237 0.6578 0.7132
Cl16 0.7763 0.1578 0.2132
Cl17 0.7763 0.1578 0.7868
Cl18 0.8826 0.4034 0.0000
Cl19 0.8916 0.8733 0.0000
Cl20 0.9209 0.8459 0.5000

The 6 most intense peaks (10° ≤ 2θ ≤ 90°), by angle:
| Position (°2θ) | I/Imax |
| --- | --- |
| 10.93 | 57 |
| 13.34 | 58 |
| 15.38 | 57 |
| 21.96 | 42 |
| 27.78 | 100 |
| 28.25 | 71 |

---

Starting from a cell relaxed with PBE, the PXRD pattern of NaAlCl2 was simulated for Cu Kα (λ = 1.5418 Å).
Lines closer than 0.1° are merged.

Structural model:
a b c (Å): 8.5265 8.5265 8.5265
angles (deg): 24.77 24.77 24.77
Fractional positions:
Na1 0.0000 0.0000 0.0000
Al1 0.5000 0.5000 0.5000
Cl1 0.4026 0.4026 0.4026
Cl2 0.5974 0.5974 0.5974

The 6 most intense peaks (10° ≤ 2θ ≤ 90°), by angle:
| Position (°2θ) | I/Imax |
| --- | --- |
| 28.41 | 71 |
| 29.10 | 100 |
| 33.58 | 55 |
| 40.74 | 27 |
| 46.53 | 62 |
| 49.87 | 51 |

---

Starting from a cell relaxed with PBE, the PXRD pattern of Na4Al3Si9ClO24 was simulated for Cu Kα (λ = 1.5418 Å).
Lines closer than 0.1° are merged.

Structural model:
a b c (Å): 7.6432 9.4081 9.4359
angles (deg): 80.63 66.53 66.61
Fractional positions:
Na1 0.0000 0.0000 0.0000
Na2 0.0902 0.2509 0.5846
Na3 0.3452 0.5773 0.7255
Na4 0.4712 0.8453 0.3531
Al1 0.0924 0.3316 0.9152
Al2 0.5031 0.1703 0.2431
Al3 0.7806 0.4847 0.4001
Si1 0.1018 0.1560 0.2397
Si2 0.3504 0.4948 0.4069
Si3 0.3545 0.6554 0.0805
Si4 0.5573 0.1598 0.7378
Si5 0.6507 0.8334 0.9105
Si6 0.6764 0.3347 0.9164
Si7 0.8081 0.9859 0.4152
Si8 0.8896 0.6597 0.5881
Si9 0.9504 0.6569 0.0752
Cl1 0.2279 0.9094 0.6728
O1 0.0218 0.0094 0.3023
O2 0.0737 0.5147 0.9549
O3 0.0865 0.2009 0.0701
O4 0.1223 0.7244 0.0758
O5 0.1358 0.5688 0.5556
O6 0.3220 0.2575 0.7568
O7 0.3344 0.0903 0.2379
O8 0.3476 0.6114 0.2556
O9 0.3670 0.3274 0.3707
O10 0.4463 0.7935 0.0205
O11 0.4925 0.5082 0.9628
O12 0.5252 0.4987 0.4600
O13 0.5796 0.0121 0.8570
O14 0.6493 0.2753 0.7745
O15 0.6548 0.2170 0.0616
O16 0.6647 0.0148 0.3174
O17 0.6964 0.1017 0.5618
O18 0.7794 0.7151 0.7669
O19 0.7949 0.5464 0.5597
O20 0.7953 0.8081 0.0103
O21 0.8134 0.6177 0.2458
O22 0.8656 0.8077 0.4731
O23 0.9028 0.3425 0.8484
O24 0.9628 0.2986 0.3606

The 6 most intense peaks (10° ≤ 2θ ≤ 90°), by angle:
| Position (°2θ) | I/Imax |
| --- | --- |
| 22.96 | 55 |
| 23.04 | 50 |
| 25.40 | 92 |
| 25.57 | 100 |
| 28.65 | 38 |
| 28.80 | 62 |

---

Starting from a cell relaxed with PBE, the PXRD pattern of RbNaAl2Cl8 was simulated for Cu Kα (λ = 1.5418 Å).
Lines closer than 0.1° are merged.

Structural model:
a b c (Å): 10.3487 10.3487 10.3487
angles (deg): 37.08 37.08 37.08
Fractional positions:
Rb1 0.0000 0.0000 0.0000
Na1 0.5000 0.5000 0.5000
Al1 0.2498 0.2498 0.2498
Al2 0.7502 0.7502 0.7502
Cl1 0.0776 0.4537 0.7886
Cl2 0.2114 0.9224 0.5463
Cl3 0.3246 0.3246 0.3246
Cl4 0.4537 0.7886 0.0776
Cl5 0.5463 0.2114 0.9224
Cl6 0.6754 0.6754 0.6754
Cl7 0.7886 0.0776 0.4537
Cl8 0.9224 0.5463 0.2114

The 6 most intense peaks (10° ≤ 2θ ≤ 90°), by angle:
| Position (°2θ) | I/Imax |
| --- | --- |
| 19.85 | 49 |
| 27.80 | 35 |
| 28.67 | 100 |
| 32.97 | 64 |
| 46.77 | 35 |
| 47.88 | 34 |

---

Starting from a cell relaxed with PBE, the PXRD pattern of NdAlCl6 was simulated for Cu Kα (λ = 1.5418 Å).
Lines closer than 0.1° are merged.

Structural model:
a b c (Å): 7.0858 7.0858 6.3667
angles (deg): 97.10 97.10 126.34
Fractional positions:
Nd1 0.0000 0.0000 0.0000
Al1 0.5000 0.5000 0.5000
Cl1 0.1562 0.4213 0.2853
Cl2 0.2650 0.2650 0.7310
Cl3 0.4213 0.1562 0.2853
Cl4 0.5787 0.8438 0.7147
Cl5 0.7350 0.7350 0.2690
Cl6 0.8438 0.5787 0.7147

The 6 most intense peaks (10° ≤ 2θ ≤ 90°), by angle:
| Position (°2θ) | I/Imax |
| --- | --- |
| 14.01 | 100 |
| 18.78 | 74 |
| 24.19 | 24 |
| 31.49 | 61 |
| 35.24 | 27 |
| 42.79 | 20 |

---

Question: What is the formula in the third record?
Answer: Na4Al3Si9ClO24